Calculated X-ray diffraction stick pattern of LiCo2NiO6 for Cu Kα X-rays, from the GGA+U geometry in the Materials Project.

Peak list (12 most intense, 5 to 70 degrees two-theta, by intensity)
2theta, d (Å), I/Imax
18.35, 4.836, 100
43.46, 2.082, 17
44.62, 2.031, 16
45.00, 2.015, 15
37.12, 2.422, 15
36.17, 2.484, 12
37.45, 2.402, 10
63.58, 1.463, 8
57.13, 1.612, 6
48.33, 1.883, 6
58.38, 1.581, 5
58.76, 1.572, 5

Crystal structure
a = 2.866 Å, b = 5.863 Å, c = 6.469 Å
α = 74.45°, β = 77.79°, γ = 88.15°
Space group P-1 (No. 2)
One atom of each set of equivalent atoms:
Li (0.000, 0.000, 0.000) (multiplicity 1)
Co (0.316, 0.173, 0.340) (multiplicity 2)
Ni (0.000, 0.500, 0.000) (multiplicity 1)
O (0.175, 0.045, 0.649) (multiplicity 2)
O (0.177, 0.614, 0.684) (multiplicity 2)
O (0.453, 0.256, 0.034) (multiplicity 2)